(1)
Simulated X-ray powder pattern
Compound: Li3V2F12
Radiation: Cu Kα (weighted mean of Kα1 and Kα2)
Structure: a DFT-relaxed cell (GGA+U, the Materials Project)
Neutral-atom scattering factors, no anomalous dispersion.

Most intense lines, 10° ≤ 2θ ≤ 90°, most intense first:
2theta, intensity
18.9, 100.0
19.6, 34.0
17.2, 33.4
12.0, 22.4
22.0, 14.0
19.1, 10.8
38.8, 10.6
40.0, 9.4
36.7, 8.8
27.2, 8.3

Structural model:
a b c (Å): 5.3182 10.5285 10.4835
angles (deg): 90.00 99.79 90.00
Atoms (fractional coordinates):
Li 0.0000 0.0000 0.0000
Li 0.0000 0.5000 0.5000
Li 0.3965 0.1732 0.3788
Li 0.3965 0.3268 0.8788
Li 0.6035 0.6732 0.1212
Li 0.6035 0.8268 0.6212
V 0.2590 0.6496 0.8079
V 0.2590 0.8504 0.3079
V 0.7410 0.1496 0.6921
V 0.7410 0.3504 0.1921
F 0.0027 0.0880 0.6279
F 0.0027 0.4120 0.1279
F 0.0832 0.7069 0.2496
F 0.0832 0.7931 0.7496
F 0.1469 0.5731 0.6436
F 0.1469 0.9269 0.1436
F 0.3956 0.7259 0.9654
F 0.3956 0.7741 0.4654
F 0.4357 0.0016 0.3568
F 0.4357 0.4984 0.8568
F 0.4587 0.2085 0.7568
F 0.4587 0.2915 0.2568
F 0.5413 0.7085 0.7432
F 0.5413 0.7915 0.2432
F 0.5643 0.5016 0.1432
F 0.5643 0.9984 0.6432
F 0.6044 0.2259 0.5346
F 0.6044 0.2741 0.0346
F 0.8531 0.0731 0.8564
F 0.8531 0.4269 0.3564
F 0.9168 0.2069 0.2504
F 0.9168 0.2931 0.7504
F 0.9973 0.5880 0.8721
F 0.9973 0.9120 0.3721

***

(2)
Simulated X-ray powder pattern
Compound: Li3Mn2CoO6
Radiation: Cu Kα (weighted mean of Kα1 and Kα2)
Structure: a DFT-relaxed cell (GGA+U, the Materials Project)
Neutral-atom scattering factors, no anomalous dispersion.

Most intense lines, 10° ≤ 2θ ≤ 90°, most intense first:
2theta, intensity
18.2, 100.0
43.4, 52.1
42.2, 29.1
35.7, 26.8
34.8, 16.9
62.1, 15.2
62.2, 14.8
47.0, 10.5
57.3, 9.5
37.1, 9.0

Structural model:
a b c (Å): 5.1168 5.1168 5.1986
angles (deg): 100.38 100.38 118.72
Atoms (fractional coordinates):
Li 0.0000 0.0000 0.0000
Li 0.3316 0.6684 0.0000
Li 0.6684 0.3316 0.0000
Mn 0.1659 0.8341 0.5000
Mn 0.8341 0.1659 0.5000
Co 0.5000 0.5000 0.5000
O 0.0803 0.4337 0.2714
O 0.2221 0.2221 0.7295
O 0.4337 0.0803 0.2714
O 0.5663 0.9197 0.7286
O 0.7779 0.7779 0.2705
O 0.9197 0.5663 0.7286

***

(3)
Simulated X-ray powder pattern
Compound: Li9Mn7O16
Radiation: Cu Kα (weighted mean of Kα1 and Kα2)
Structure: a DFT-relaxed cell (GGA+U, the Materials Project)
Neutral-atom scattering factors, no anomalous dispersion.

Most intense lines, 10° ≤ 2θ ≤ 90°, most intense first:
2theta, intensity
18.3, 100.0
44.1, 55.3
40.6, 34.5
36.1, 23.2
33.7, 19.2
61.8, 16.2
61.1, 15.8
46.8, 9.7
58.1, 9.3
64.7, 7.4

Structural model:
a b c (Å): 11.3287 11.3287 9.7886
angles (deg): 108.51 108.51 14.60
Atoms (fractional coordinates):
Li 0.0000 0.0000 0.0000
Li 0.0620 0.0620 0.3035
Li 0.1823 0.1823 0.9389
Li 0.3138 0.3138 0.5611
Li 0.4412 0.4412 0.1834
Li 0.5588 0.5588 0.8166
Li 0.6862 0.6862 0.4389
Li 0.8177 0.8177 0.0611
Li 0.9380 0.9380 0.6965
Mn 0.1261 0.1261 0.6297
Mn 0.2461 0.2461 0.2476
Mn 0.3827 0.3827 0.8762
Mn 0.5000 0.5000 0.5000
Mn 0.6173 0.6173 0.1238
Mn 0.7539 0.7539 0.7524
Mn 0.8739 0.8739 0.3703
O 0.0257 0.0257 0.6448
O 0.0965 0.0965 0.9830
O 0.1503 0.1503 0.2641
O 0.2255 0.2255 0.6099
O 0.2866 0.2866 0.8947
O 0.3459 0.3459 0.2262
O 0.3999 0.3999 0.5122
O 0.4586 0.4586 0.8466
O 0.5414 0.5414 0.1534
O 0.6001 0.6001 0.4878
O 0.6541 0.6541 0.7738
O 0.7134 0.7134 0.1053
O 0.7745 0.7745 0.3901
O 0.8497 0.8497 0.7359
O 0.9035 0.9035 0.0170
O 0.9743 0.9743 0.3552

***

(4)
Simulated X-ray powder pattern
Compound: LiVSiO4
Radiation: Cu Kα (weighted mean of Kα1 and Kα2)
Structure: a DFT-relaxed cell (GGA+U, the Materials Project)
Neutral-atom scattering factors, no anomalous dispersion.

Most intense lines, 10° ≤ 2θ ≤ 90°, most intense first:
2theta, intensity
35.5, 100.0
25.6, 83.0
20.4, 55.8
30.8, 54.5
17.0, 40.5
52.6, 36.8
62.3, 25.9
37.2, 25.8
66.5, 24.8
22.9, 24.6

Structural model:
a b c (Å): 10.4250 5.8097 4.7880
angles (deg): 90.00 90.00 90.00
Atoms (fractional coordinates):
Li 0.0000 0.0000 0.0000
Li 0.0000 0.5000 0.0000
Li 0.5000 0.0000 0.5000
Li 0.5000 0.5000 0.5000
V 0.2266 0.2500 0.4956
V 0.2734 0.7500 0.9956
V 0.7266 0.2500 0.0044
V 0.7734 0.7500 0.5044
Si 0.0922 0.7500 0.4431
Si 0.4078 0.2500 0.9431
Si 0.5922 0.7500 0.0569
Si 0.9078 0.2500 0.5569
O 0.0512 0.2500 0.6919
O 0.0992 0.7500 0.7797
O 0.1734 0.5351 0.2864
O 0.1734 0.9649 0.2864
O 0.3266 0.0351 0.7864
O 0.3266 0.4649 0.7864
O 0.4008 0.2500 0.2797
O 0.4488 0.7500 0.1919
O 0.5512 0.2500 0.8081
O 0.5992 0.7500 0.7203
O 0.6734 0.5351 0.2136
O 0.6734 0.9649 0.2136
O 0.8266 0.0351 0.7136
O 0.8266 0.4649 0.7136
O 0.9008 0.2500 0.2203
O 0.9488 0.7500 0.3081

***

(5)
Simulated X-ray powder pattern
Compound: Li3MnPCO7
Radiation: Cu Kα (weighted mean of Kα1 and Kα2)
Structure: a DFT-relaxed cell (GGA+U, the Materials Project)
Neutral-atom scattering factors, no anomalous dispersion.

Most intense lines, 10° ≤ 2θ ≤ 90°, most intense first:
2theta, intensity
10.3, 100.0
27.1, 79.4
36.8, 26.5
26.4, 24.2
21.4, 22.6
36.1, 21.5
25.4, 20.1
55.9, 17.4
19.9, 16.9
28.6, 16.4

Structural model:
a b c (Å): 6.5742 8.5793 9.9893
angles (deg): 94.61 90.26 90.50
Atoms (fractional coordinates):
Li 0.0000 0.0000 0.0000
Li 0.0013 0.9997 0.4975
Li 0.0052 0.4270 0.7231
Li 0.2246 0.8170 0.2411
Li 0.2715 0.3644 0.5077
Li 0.2760 0.3657 0.9858
Li 0.5074 0.1852 0.2367
Li 0.5091 0.1944 0.7313
Li 0.7364 0.3655 0.9862
Li 0.7404 0.3651 0.5079
Li 0.7833 0.8105 0.7405
Li 0.7907 0.8161 0.2407
Mn 0.0065 0.4291 0.2316
Mn 0.2456 0.8200 0.7520
Mn 0.5102 0.7425 0.0128
Mn 0.5143 0.7449 0.4953
P 0.0063 0.6772 0.9784
P 0.0073 0.6767 0.4790
P 0.5061 0.4965 0.7558
P 0.5067 0.4969 0.2563
C 0.0056 0.1296 0.7668
C 0.0068 0.1226 0.2669
C 0.5009 0.0558 0.9682
C 0.5038 0.0562 0.4703
O 0.0036 0.2377 0.8629
O 0.0052 0.5122 0.0281
O 0.0054 0.9800 0.7996
O 0.0062 0.1578 0.1439
O 0.0064 0.5103 0.5231
O 0.0069 0.1569 0.6427
O 0.0067 0.2335 0.3636
O 0.0068 0.6640 0.8216
O 0.0065 0.6690 0.3218
O 0.0073 0.9771 0.2971
O 0.1936 0.7790 0.0301
O 0.1962 0.7772 0.5333
O 0.3171 0.4024 0.7045
O 0.3214 0.3996 0.1996
O 0.4913 0.9402 0.8718
O 0.5000 0.0198 0.5941
O 0.5056 0.1981 0.9350
O 0.5064 0.2001 0.4404
O 0.5063 0.6692 0.7109
O 0.5063 0.9436 0.3734
O 0.5070 0.5095 0.4133
O 0.5067 0.5128 0.9139
O 0.5074 0.6682 0.2146
O 0.5086 0.0200 0.0905
O 0.6905 0.4004 0.2007
O 0.6943 0.4053 0.7043
O 0.8242 0.7787 0.0331
O 0.8268 0.7794 0.5346

***

(6)
Simulated X-ray powder pattern
Compound: MgMn3TeO8
Radiation: Cu Kα (weighted mean of Kα1 and Kα2)
Structure: a DFT-relaxed cell (GGA+U, the Materials Project)
Neutral-atom scattering factors, no anomalous dispersion.

Most intense lines, 10° ≤ 2θ ≤ 90°, most intense first:
2theta, intensity
17.8, 100.0
17.5, 63.5
40.9, 50.4
34.0, 31.7
33.2, 28.8
60.4, 25.7
42.0, 23.7
34.5, 22.0
33.5, 17.9
59.7, 17.1

Structural model:
a b c (Å): 6.1315 6.1315 6.3622
angles (deg): 120.48 120.48 60.04
Atoms (fractional coordinates):
Mg 0.0000 0.0000 0.0000
Mn 0.3729 0.8633 0.5697
Mn 0.3761 0.3761 0.5870
Mn 0.8633 0.3729 0.5697
Te 0.3700 0.3700 0.0880
O 0.1278 0.1278 0.3893
O 0.1311 0.5828 0.8432
O 0.1411 0.1411 0.8668
O 0.1612 0.6094 0.3193
O 0.5828 0.1311 0.8432
O 0.5929 0.5929 0.2888
O 0.6094 0.1612 0.3193
O 0.6147 0.6147 0.7475

***

(7)
Simulated X-ray powder pattern
Compound: CsCoCuF6
Radiation: Cu Kα (weighted mean of Kα1 and Kα2)
Structure: a DFT-relaxed cell (GGA+U, the Materials Project)
Neutral-atom scattering factors, no anomalous dispersion.

Most intense lines, 10° ≤ 2θ ≤ 90°, most intense first:
2theta, intensity
28.6, 100.0
28.1, 75.1
49.6, 52.4
24.2, 46.2
28.7, 37.2
44.8, 27.2
29.4, 21.9
30.0, 19.6
45.7, 19.0
58.7, 14.4

Structural model:
a b c (Å): 7.3476 7.3476 7.3476
angles (deg): 120.56 118.67 90.68
Atoms (fractional coordinates):
Cs 0.3764 0.1264 0.2500
Cs 0.6236 0.8736 0.7500
Co 0.0000 0.0000 0.5000
Co 0.0000 0.5000 0.0000
Cu 0.0000 0.5000 0.5000
Cu 0.5000 0.5000 0.0000
F 0.0683 0.4311 0.2493
F 0.0683 0.8190 0.6372
F 0.0706 0.8206 0.2500
F 0.3182 0.1810 0.7493
F 0.3182 0.5689 0.1372
F 0.3189 0.5689 0.7500
F 0.6811 0.4311 0.2500
F 0.6818 0.4311 0.8628
F 0.6818 0.8190 0.2507
F 0.9294 0.1794 0.7500
F 0.9317 0.1810 0.3628
F 0.9317 0.5689 0.7507

***

Repeat the fifth record exactly.
Simulated X-ray powder pattern
Compound: Li3MnPCO7
Radiation: Cu Kα (weighted mean of Kα1 and Kα2)
Structure: a DFT-relaxed cell (GGA+U, the Materials Project)
Neutral-atom scattering factors, no anomalous dispersion.

Most intense lines, 10° ≤ 2θ ≤ 90°, most intense first:
2theta, intensity
10.3, 100.0
27.1, 79.4
36.8, 26.5
26.4, 24.2
21.4, 22.6
36.1, 21.5
25.4, 20.1
55.9, 17.4
19.9, 16.9
28.6, 16.4

Structural model:
a b c (Å): 6.5742 8.5793 9.9893
angles (deg): 94.61 90.26 90.50
Atoms (fractional coordinates):
Li 0.0000 0.0000 0.0000
Li 0.0013 0.9997 0.4975
Li 0.0052 0.4270 0.7231
Li 0.2246 0.8170 0.2411
Li 0.2715 0.3644 0.5077
Li 0.2760 0.3657 0.9858
Li 0.5074 0.1852 0.2367
Li 0.5091 0.1944 0.7313
Li 0.7364 0.3655 0.9862
Li 0.7404 0.3651 0.5079
Li 0.7833 0.8105 0.7405
Li 0.7907 0.8161 0.2407
Mn 0.0065 0.4291 0.2316
Mn 0.2456 0.8200 0.7520
Mn 0.5102 0.7425 0.0128
Mn 0.5143 0.7449 0.4953
P 0.0063 0.6772 0.9784
P 0.0073 0.6767 0.4790
P 0.5061 0.4965 0.7558
P 0.5067 0.4969 0.2563
C 0.0056 0.1296 0.7668
C 0.0068 0.1226 0.2669
C 0.5009 0.0558 0.9682
C 0.5038 0.0562 0.4703
O 0.0036 0.2377 0.8629
O 0.0052 0.5122 0.0281
O 0.0054 0.9800 0.7996
O 0.0062 0.1578 0.1439
O 0.0064 0.5103 0.5231
O 0.0069 0.1569 0.6427
O 0.0067 0.2335 0.3636
O 0.0068 0.6640 0.8216
O 0.0065 0.6690 0.3218
O 0.0073 0.9771 0.2971
O 0.1936 0.7790 0.0301
O 0.1962 0.7772 0.5333
O 0.3171 0.4024 0.7045
O 0.3214 0.3996 0.1996
O 0.4913 0.9402 0.8718
O 0.5000 0.0198 0.5941
O 0.5056 0.1981 0.9350
O 0.5064 0.2001 0.4404
O 0.5063 0.6692 0.7109
O 0.5063 0.9436 0.3734
O 0.5070 0.5095 0.4133
O 0.5067 0.5128 0.9139
O 0.5074 0.6682 0.2146
O 0.5086 0.0200 0.0905
O 0.6905 0.4004 0.2007
O 0.6943 0.4053 0.7043
O 0.8242 0.7787 0.0331
O 0.8268 0.7794 0.5346